(1)
Structure and theoretical powder diffractogram of Na2PaSeO8 (a structure optimized by DFT (GGA-PBE); Cu Kα).
Kinematic intensities with the Lorentz-polarization factor, no thermal factor.

Most intense lines, 10 to 80 degrees two-theta, most intense first:
2θ/deg, I_rel
18.98, 100
33.19, 38
45.55, 36
36.00, 32
24.29, 24
49.77, 20

Unit cell a=5.3990 b=5.3990 c=5.8986 alpha=90.00 beta=90.00 gamma=120.00
Element x y z (fractional)
Na 0.3333 0.6667 0.4155
Na 0.6667 0.3333 0.5845
Pa 0.0000 0.0000 0.0000
Se 0.0000 0.0000 0.5000
O 0.1525 0.3050 0.6930
O 0.1525 0.8475 0.6930
O 0.3050 0.1525 0.3070
O 0.3333 0.6667 0.0262
O 0.6667 0.3333 0.9738
O 0.6950 0.8475 0.6930
O 0.8475 0.1525 0.3070
O 0.8475 0.6950 0.3070

(2)
Structure and theoretical powder diffractogram of AcTb5Pr6 (a structure optimized by DFT (GGA-PBE); Cu Kα).
Kinematic intensities with the Lorentz-polarization factor, no thermal factor.

Most intense lines, 10 to 80 degrees two-theta, most intense first:
2θ/deg, I_rel
29.78, 100
34.57, 34
59.01, 29
49.58, 24
34.42, 17
58.81, 15

Unit cell a=8.2376 b=8.2376 c=10.3712 alpha=90.00 beta=90.00 gamma=143.25
Element x y z (fractional)
Ac 0.0000 0.0000 0.0000
Tb 0.0000 0.0000 0.5000
Tb 0.3293 0.6707 0.0000
Tb 0.3330 0.6670 0.5000
Tb 0.6670 0.3330 0.5000
Tb 0.6707 0.3293 0.0000
Pr 0.1677 0.8323 0.2538
Pr 0.1677 0.8323 0.7462
Pr 0.5000 0.5000 0.2573
Pr 0.5000 0.5000 0.7427
Pr 0.8323 0.1677 0.2538
Pr 0.8323 0.1677 0.7462